1.
Starting from DFT lattice parameters and positions (PBE), the powder diffraction line list of BeNi2 was computed for Cu Kα X-rays.

Atomic structure:
a b c (Å): 2.4555 2.4555 5.6325
angles (deg): 90.00 90.00 120.00
Space group P-3m1 (No. 164)
Asymmetric unit:
Be: 0.0000 0.0000 0.0000 (multiplicity 1)
Ni: 0.3333 0.6667 0.3130 (multiplicity 2)

Most intense lines, 10 to 90 degrees two-theta, in order of rising 2θ:
15.7°, I 40; 31.8°, I 29; 42.5°, I 18; 45.6°, I 100; 48.5°, I 19; 54.0°, I 45; 66.4°, I 12; 77.8°, I 14; 80.0°, I 3; 82.1°, I 17; 86.4°, I 2; 86.5°, I 8

2.
Starting from DFT lattice parameters and positions (PBE), the powder diffraction line list of CsCu9Sb4 was computed for Cu Kα X-rays.

Atomic structure:
a b c (Å): 8.7824 8.7824 13.1389
angles (deg): 90.00 90.00 90.00
Space group I4/mcm (No. 140)
Asymmetric unit:
Cs: 0.0000 0.0000 0.2500 (multiplicity 4)
Cu: 0.0000 0.5000 0.0000 (multiplicity 4)
Cu: 0.0484 0.2053 0.0000 (multiplicity 16)
Cu: 0.1063 0.3937 0.1726 (multiplicity 16)
Sb: 0.1837 0.3163 0.3735 (multiplicity 16)

Most intense lines, 10 to 90 degrees two-theta, in order of rising 2θ:
30.8°, I 37; 31.9°, I 32; 32.2°, I 30; 34.1°, I 93; 35.1°, I 75; 41.3°, I 64; 42.5°, I 77; 43.0°, I 100; 43.7°, I 28; 50.0°, I 24; 61.6°, I 22; 66.4°, I 27

- Which formula does entry 2 have?
  CsCu9Sb4

What did the first record say?
Starting from DFT lattice parameters and positions (PBE), the powder diffraction line list of BeNi2 was computed for Cu Kα X-rays.

Atomic structure:
a b c (Å): 2.4555 2.4555 5.6325
angles (deg): 90.00 90.00 120.00
Space group P-3m1 (No. 164)
Asymmetric unit:
Be: 0.0000 0.0000 0.0000 (multiplicity 1)
Ni: 0.3333 0.6667 0.3130 (multiplicity 2)

Most intense lines, 10 to 90 degrees two-theta, in order of rising 2θ:
15.7°, I 40; 31.8°, I 29; 42.5°, I 18; 45.6°, I 100; 48.5°, I 19; 54.0°, I 45; 66.4°, I 12; 77.8°, I 14; 80.0°, I 3; 82.1°, I 17; 86.4°, I 2; 86.5°, I 8